Structure and computed powder diffraction line list of Ac2TbPr6 (a crystal structure in Alexandria, relaxed with PBE; Cu Kα X-rays).
Lines closer than 0.1° are merged.

Structure:
a b c (Å): 9.413 9.413 9.380
angles (deg): 112.93 112.93 66.59
Fractional coordinates of all 18 atoms:
Ac 0.010 0.174 0.177
Ac 0.174 0.010 0.677
Ac 0.826 0.990 0.323
Ac 0.990 0.826 0.823
Tb 0.254 0.746 0.250
Tb 0.746 0.254 0.750
Pr 0.088 0.583 0.418
Pr 0.170 0.349 0.011
Pr 0.341 0.495 0.834
Pr 0.349 0.170 0.511
Pr 0.417 0.912 0.082
Pr 0.495 0.341 0.334
Pr 0.505 0.659 0.666
Pr 0.583 0.088 0.918
Pr 0.651 0.830 0.489
Pr 0.659 0.505 0.166
Pr 0.830 0.651 0.989
Pr 0.912 0.417 0.582

Peak list (10 most intense, 2θ from 10° to 90°, by angle)
- 2θ = 29.77°, rel. 35
- 2θ = 29.93°, rel. 100
- 2θ = 30.13°, rel. 60
- 2θ = 42.72°, rel. 11
- 2θ = 42.99°, rel. 22
- 2θ = 52.90°, rel. 19
- 2θ = 53.19°, rel. 19
- 2θ = 53.29°, rel. 12
- 2θ = 59.55°, rel. 10
- 2θ = 59.78°, rel. 15